This entry pairs a crystal structure of NaTlCu with its theoretical powder X-ray diffraction pattern. Radiation: λ = 1.5418 Å (Cu Kα). Structure: a cell relaxed with GGA-PBE.
Intensities are scaled so that the largest is 100.

Structural model:
Unit cell a=5.849 b=5.849 c=5.849 alpha=90.26 beta=90.26 gamma=90.26
Positions (direct):
Na 0.000 0.687 0.312
Na 0.312 0.000 0.687
Na 0.687 0.312 0.000
Tl 0.166 0.500 0.833
Tl 0.500 0.833 0.166
Tl 0.833 0.166 0.500
Cu 0.245 0.245 0.245
Cu 0.499 0.499 0.499
Cu 0.752 0.752 0.752

Main lines, in order of rising 2θ (2θ = 15–90°):
d 4.145, 2θ 21.44, intensity 98
d 3.362, 2θ 26.52, intensity 32
d 2.611, 2θ 34.35, intensity 100
d 2.393, 2θ 37.58, intensity 82
d 2.073, 2θ 43.67, intensity 16
d 1.950, 2θ 46.58, intensity 43
d 1.764, 2θ 51.82, intensity 31
d 1.558, 2θ 59.33, intensity 21
d 1.420, 2θ 65.76, intensity 31
d 1.146, 2θ 84.55, intensity 16

---

This entry pairs a crystal structure of CsPaS2O with its theoretical powder X-ray diffraction pattern. Radiation: λ = 1.5418 Å (Cu Kα). Structure: a cell relaxed with GGA-PBE.
Intensities are scaled so that the largest is 100.

Structural model:
Unit cell a=8.299 b=4.190 c=9.351 alpha=90.00 beta=107.09 gamma=90.00
Positions (direct):
Cs 0.194 0.250 0.308
Cs 0.806 0.750 0.692
Pa 0.317 0.250 0.828
Pa 0.683 0.750 0.172
S 0.338 0.750 0.034
S 0.345 0.750 0.654
S 0.655 0.250 0.346
S 0.662 0.250 0.966
O 0.079 0.250 0.775
O 0.921 0.750 0.225

Main lines, in order of rising 2θ (2θ = 15–90°):
d 4.500, 2θ 19.73, intensity 32
d 4.469, 2θ 19.87, intensity 32
d 4.099, 2θ 21.68, intensity 20
d 3.966, 2θ 22.42, intensity 35
d 3.705, 2θ 24.02, intensity 64
d 3.285, 2θ 27.15, intensity 23
d 3.061, 2θ 29.17, intensity 100
d 2.336, 2θ 38.53, intensity 32
d 2.309, 2θ 39.02, intensity 18
d 1.972, 2θ 46.03, intensity 18

---

This entry pairs a crystal structure of LaNd3Ag3 with its theoretical powder X-ray diffraction pattern. Radiation: λ = 1.5418 Å (Cu Kα). Structure: a cell relaxed with GGA-PBE.
Intensities are scaled so that the largest is 100.

Structural model:
Unit cell a=7.539 b=7.539 c=7.360 alpha=98.42 beta=98.42 gamma=89.63
Positions (direct):
La 0.240 0.240 0.003
La 0.760 0.760 0.997
Nd 0.162 0.162 0.449
Nd 0.225 0.775 0.000
Nd 0.319 0.681 0.500
Nd 0.681 0.319 0.500
Nd 0.775 0.225 0.000
Nd 0.838 0.838 0.551
Ag 0.028 0.487 0.717
Ag 0.451 0.451 0.798
Ag 0.487 0.028 0.717
Ag 0.513 0.972 0.283
Ag 0.549 0.549 0.202
Ag 0.972 0.513 0.283

Main lines, in order of rising 2θ (2θ = 15–90°):
d 3.315, 2θ 26.90, intensity 20
d 3.125, 2θ 28.56, intensity 22
d 2.967, 2θ 30.12, intensity 31
d 2.805, 2θ 31.91, intensity 100
d 2.657, 2θ 33.73, intensity 35
d 2.617, 2θ 34.27, intensity 25
d 2.418, 2θ 37.18, intensity 50
d 2.377, 2θ 37.85, intensity 17
d 2.366, 2θ 38.03, intensity 17
d 2.347, 2θ 38.34, intensity 14

---

This entry pairs a crystal structure of ZnPW2 with its theoretical powder X-ray diffraction pattern. Radiation: λ = 1.5418 Å (Cu Kα). Structure: a cell relaxed with GGA-PBE.
Intensities are scaled so that the largest is 100.

Structural model:
Unit cell a=3.170 b=3.170 c=5.888 alpha=90.00 beta=90.00 gamma=90.00
Positions (direct):
Zn 0.000 0.000 0.000
P 0.500 0.500 0.258
W 0.000 0.000 0.474
W 0.500 0.500 0.746

Main lines, in order of rising 2θ (2θ = 15–90°):
d 5.888, 2θ 15.05, intensity 40
d 2.791, 2θ 32.07, intensity 41
d 2.241, 2θ 40.24, intensity 57
d 2.157, 2θ 41.88, intensity 100
d 2.095, 2θ 43.19, intensity 12
d 1.585, 2θ 58.21, intensity 19
d 1.477, 2θ 62.95, intensity 9
d 1.378, 2θ 68.03, intensity 10
d 1.277, 2θ 74.26, intensity 37
d 1.230, 2θ 77.60, intensity 15

---

This entry pairs a crystal structure of Pm2PrDySe4 with its theoretical powder X-ray diffraction pattern. Radiation: λ = 1.5418 Å (Cu Kα). Structure: a cell relaxed with GGA-PBE.
Intensities are scaled so that the largest is 100.

Structural model:
Unit cell a=7.236 b=4.130 c=7.331 alpha=90.00 beta=108.81 gamma=90.00
Positions (direct):
Pm 0.000 0.000 0.000
Pm 0.000 0.500 0.500
Pr 0.500 0.000 0.500
Dy 0.500 0.500 0.000
Se 0.250 0.500 0.242
Se 0.256 0.000 0.760
Se 0.744 0.000 0.240
Se 0.750 0.500 0.758

Main lines, in order of rising 2θ (2θ = 15–90°):
d 3.388, 2θ 26.31, intensity 9
d 2.959, 2θ 30.20, intensity 100
d 2.119, 2θ 42.66, intensity 13
d 2.103, 2θ 43.01, intensity 25
d 2.083, 2θ 43.45, intensity 25
d 2.065, 2θ 43.84, intensity 12
d 1.694, 2θ 54.15, intensity 13
d 1.480, 2θ 62.81, intensity 12
d 1.329, 2θ 70.93, intensity 11
d 1.318, 2θ 71.56, intensity 11

---

This entry pairs a crystal structure of SeBrF with its theoretical powder X-ray diffraction pattern. Radiation: λ = 1.5418 Å (Cu Kα). Structure: a cell relaxed with GGA-PBE.
Intensities are scaled so that the largest is 100.

Structural model:
Unit cell a=6.098 b=6.098 c=7.367 alpha=121.19 beta=121.19 gamma=48.35
Positions (direct):
Se 0.013 0.013 0.187
Se 0.987 0.987 0.813
Br 0.447 0.447 0.189
Br 0.553 0.553 0.811
F 0.140 0.140 0.487
F 0.860 0.860 0.513

Main lines, in order of rising 2θ (2θ = 15–90°):
d 4.580, 2θ 19.38, intensity 100
d 3.660, 2θ 24.32, intensity 53
d 3.033, 2θ 29.45, intensity 16
d 2.972, 2θ 30.07, intensity 45
d 2.712, 2θ 33.03, intensity 19
d 2.497, 2θ 35.96, intensity 35
d 2.193, 2θ 41.17, intensity 31
d 2.062, 2θ 43.90, intensity 25
d 1.950, 2θ 46.58, intensity 20
d 1.903, 2θ 47.80, intensity 21

---

This entry pairs a crystal structure of K2Ag with its theoretical powder X-ray diffraction pattern. Radiation: λ = 1.5418 Å (Cu Kα). Structure: a cell relaxed with GGA-PBE.
Intensities are scaled so that the largest is 100.

Structural model:
Unit cell a=11.415 b=11.415 c=11.415 alpha=60.00 beta=60.00 gamma=60.00
Positions (direct):
K 0.000 0.000 0.000
K 0.000 0.000 0.500
K 0.000 0.500 0.000
K 0.180 0.180 0.570
K 0.180 0.570 0.180
K 0.180 0.570 0.570
K 0.430 0.430 0.820
K 0.430 0.820 0.430
K 0.430 0.820 0.820
K 0.500 0.000 0.000
K 0.570 0.180 0.180
K 0.570 0.180 0.570
K 0.570 0.570 0.180
K 0.820 0.430 0.430
K 0.820 0.430 0.820
K 0.820 0.820 0.430
Ag 0.072 0.809 0.809
Ag 0.191 0.191 0.191
Ag 0.191 0.191 0.928
Ag 0.191 0.928 0.191
Ag 0.809 0.072 0.809
Ag 0.809 0.809 0.072
Ag 0.809 0.809 0.809
Ag 0.928 0.191 0.191

Main lines, in order of rising 2θ (2θ = 15–90°):
d 5.708, 2θ 15.53, intensity 39
d 4.867, 2θ 18.23, intensity 23
d 3.107, 2θ 28.73, intensity 100
d 2.691, 2θ 33.30, intensity 50
d 2.462, 2θ 36.50, intensity 25
d 2.434, 2θ 36.93, intensity 19
d 2.261, 2θ 39.88, intensity 16
d 1.958, 2θ 46.38, intensity 14
d 1.903, 2θ 47.81, intensity 40
d 1.622, 2θ 56.74, intensity 18

---

This entry pairs a crystal structure of KTl3Pb with its theoretical powder X-ray diffraction pattern. Radiation: λ = 1.5418 Å (Cu Kα). Structure: a cell relaxed with GGA-PBE.
Intensities are scaled so that the largest is 100.

Structural model:
Unit cell a=6.212 b=6.212 c=6.212 alpha=127.44 beta=101.29 gamma=101.32
Positions (direct):
K 0.000 0.000 0.000
Tl 0.290 0.492 0.797
Tl 0.695 0.492 0.203
Tl 0.701 0.201 0.500
Pb 0.307 0.807 0.500

Main lines, in order of rising 2θ (2θ = 15–90°):
d 5.570, 2θ 15.91, intensity 20
d 4.510, 2θ 19.68, intensity 32
d 2.967, 2θ 30.12, intensity 100
d 2.785, 2θ 32.14, intensity 32
d 2.751, 2θ 32.55, intensity 30
d 2.370, 2θ 37.97, intensity 53
d 1.957, 2θ 46.40, intensity 24
d 1.627, 2θ 56.58, intensity 17
d 1.539, 2θ 60.13, intensity 14
d 1.414, 2θ 66.10, intensity 26

---

This entry pairs a crystal structure of S5N6 with its theoretical powder X-ray diffraction pattern. Radiation: λ = 1.5418 Å (Cu Kα). Structure: a cell relaxed with GGA-PBE.
Intensities are scaled so that the largest is 100.

Structural model:
Unit cell a=7.698 b=7.698 c=7.869 alpha=99.14 beta=99.14 gamma=102.45
Positions (direct):
S 0.093 0.907 0.750
S 0.250 0.680 0.989
S 0.285 0.448 0.681
S 0.320 0.750 0.511
S 0.448 0.285 0.181
S 0.552 0.715 0.819
S 0.680 0.250 0.489
S 0.715 0.552 0.319
S 0.750 0.320 0.011
S 0.907 0.093 0.250
N 0.136 0.834 0.921
N 0.166 0.864 0.579
N 0.185 0.490 0.843
N 0.242 0.534 0.509
N 0.466 0.758 0.991
N 0.490 0.185 0.343
N 0.510 0.815 0.657
N 0.534 0.242 0.009
N 0.758 0.466 0.491
N 0.815 0.510 0.157
N 0.834 0.136 0.421
N 0.864 0.166 0.079

Main lines, in order of rising 2θ (2θ = 15–90°):
d 4.831, 2θ 18.36, intensity 88
d 4.713, 2θ 18.83, intensity 21
d 4.663, 2θ 19.03, intensity 100
d 3.682, 2θ 24.17, intensity 24
d 3.448, 2θ 25.84, intensity 98
d 3.214, 2θ 27.76, intensity 68
d 3.082, 2θ 28.97, intensity 42
d 3.008, 2θ 29.70, intensity 73
d 2.959, 2θ 30.20, intensity 60
d 2.234, 2θ 40.38, intensity 22

---

This entry pairs a crystal structure of Cs6Rb10Hg with its theoretical powder X-ray diffraction pattern. Radiation: λ = 1.5418 Å (Cu Kα). Structure: a cell relaxed with GGA-PBE.
Intensities are scaled so that the largest is 100.

Structural model:
Unit cell a=14.119 b=14.119 c=9.260 alpha=90.00 beta=90.00 gamma=120.00
Positions (direct):
Cs 0.000 0.398 0.251
Cs 0.000 0.602 0.749
Cs 0.398 0.000 0.251
Cs 0.398 0.398 0.749
Cs 0.602 0.000 0.749
Cs 0.602 0.602 0.251
Rb 0.000 0.216 0.755
Rb 0.000 0.784 0.245
Rb 0.216 0.000 0.755
Rb 0.216 0.216 0.245
Rb 0.333 0.667 0.000
Rb 0.333 0.667 0.500
Rb 0.667 0.333 0.000
Rb 0.667 0.333 0.500
Rb 0.784 0.000 0.245
Rb 0.784 0.784 0.755
Hg 0.000 0.000 0.000

Main lines, in order of rising 2θ (2θ = 15–90°):
d 5.614, 2θ 15.79, intensity 23
d 4.135, 2θ 21.49, intensity 100
d 4.076, 2θ 21.81, intensity 40
d 3.872, 2θ 22.97, intensity 73
d 3.298, 2θ 27.03, intensity 23
d 2.807, 2θ 31.88, intensity 26
d 2.567, 2θ 34.96, intensity 32
d 2.445, 2θ 36.75, intensity 19
d 2.313, 2θ 38.93, intensity 21
d 2.163, 2θ 41.77, intensity 25

---

This entry pairs a crystal structure of LaTa2 with its theoretical powder X-ray diffraction pattern. Radiation: λ = 1.5418 Å (Cu Kα). Structure: a cell relaxed with GGA-PBE.
Intensities are scaled so that the largest is 100.

Structural model:
Unit cell a=5.146 b=9.081 c=9.081 alpha=18.82 beta=90.00 gamma=90.00
Positions (direct):
La 0.000 0.000 0.000
La 0.000 0.329 0.329
Ta 0.000 0.663 0.663
Ta 0.500 0.108 0.108
Ta 0.500 0.396 0.396
Ta 0.500 0.742 0.742

Main lines, in order of rising 2θ (2θ = 15–90°):
d 2.659, 2θ 33.71, intensity 65
d 2.583, 2θ 34.73, intensity 100
d 2.573, 2θ 34.87, intensity 65
d 2.362, 2θ 38.09, intensity 98
d 2.090, 2θ 43.30, intensity 13
d 1.849, 2θ 49.28, intensity 45
d 1.574, 2θ 58.64, intensity 18
d 1.487, 2θ 62.44, intensity 18
d 1.441, 2θ 64.67, intensity 21
d 1.287, 2θ 73.61, intensity 45